Structure and theoretical powder diffraction line list of ZnCdAgAu2 (a structure optimized by DFT (PBE); Cu Kα (weighted mean of Kα1 and Kα2)).
No peak broadening, texture or thermal motion is included.

Structure:
Cell: 4.175 4.175 6.983 Å, 90.00 90.00 120.00°
Fractional coordinates of all 5 atoms:
Zn (0.000, 0.000, 0.000)
Cd (0.333, 0.667, 0.606)
Ag (0.667, 0.333, 0.211)
Au (0.000, 0.000, 0.402)
Au (0.667, 0.333, 0.818)

The 10 most intense peaks (10 to 80 degrees two-theta), most intense first:
h k l  d [Å]  2theta  I (rel.)
0 1 2  2.512  35.75  1000
0 1 1  3.211  27.79  802
1 1 0  2.087  43.35  797
1 0 3  1.957  46.40  538
2 0 2  1.605  57.40  251
1 0 0  3.615  24.62  232
1 2 2  1.272  74.58  231
0 2 3  1.428  65.36  191
2 0 1  1.750  52.28  144
3 0 0  1.205  79.54  134